Record 1
Starting from the PBE geometry in Alexandria, the X-ray diffraction stick pattern of Ac4PuSe5 was computed for copper Kα.

Top 12 peaks for 5° ≤ 2θ ≤ 70°, by angle:
Position (°2θ), d/Å, I/Imax
24.7, 3.602, 32
24.8, 3.585, 10
28.7, 3.116, 100
40.9, 2.207, 40
41.0, 2.199, 36
48.4, 1.880, 17
48.6, 1.875, 5
50.7, 1.801, 21
50.9, 1.792, 6
59.3, 1.558, 12
67.1, 1.395, 18
67.3, 1.391, 15

Cell and atoms:
abc: 18.105 18.105 18.105
angles: 14.00 14.00 14.00
Atoms (fractional coordinates):
Ac (0.103, 0.103, 0.103)
Ac (0.299, 0.299, 0.299)
Ac (0.701, 0.701, 0.701)
Ac (0.897, 0.897, 0.897)
Pu (0.500, 0.500, 0.500)
Se (0.000, 0.000, 0.000)
Se (0.196, 0.196, 0.196)
Se (0.402, 0.402, 0.402)
Se (0.598, 0.598, 0.598)
Se (0.804, 0.804, 0.804)


Record 2
Starting from the PBE geometry in Alexandria, the X-ray diffraction stick pattern of Ho8BiTe4Se3 was computed for copper Kα.

Top 12 peaks for 5° ≤ 2θ ≤ 70°, by angle:
Position (°2θ), d/Å, I/Imax
25.7, 3.466, 3
29.7, 3.009, 100
32.4, 2.765, 3
32.5, 2.751, 2
38.7, 2.324, 2
42.3, 2.137, 35
42.7, 2.120, 38
52.2, 1.751, 5
52.8, 1.733, 19
58.8, 1.570, 3
61.6, 1.505, 11
69.6, 1.350, 13

Cell and atoms:
abc: 8.547 8.547 8.547
angles: 59.47 59.47 59.47
Atoms (fractional coordinates):
Ho (0.223, 0.751, 0.751)
Ho (0.238, 0.238, 0.238)
Ho (0.249, 0.249, 0.777)
Ho (0.249, 0.777, 0.249)
Ho (0.751, 0.223, 0.751)
Ho (0.751, 0.751, 0.223)
Ho (0.762, 0.762, 0.762)
Ho (0.777, 0.249, 0.249)
Bi (0.500, 0.500, 0.500)
Te (0.000, 0.000, 0.000)
Te (0.000, 0.500, 0.500)
Te (0.500, 0.000, 0.500)
Te (0.500, 0.500, 0.000)
Se (0.000, 0.000, 0.500)
Se (0.000, 0.500, 0.000)
Se (0.500, 0.000, 0.000)


Record 3
Starting from the PBE geometry in Alexandria, the X-ray diffraction stick pattern of CeY14Th was computed for copper Kα.

Top 12 peaks for 5° ≤ 2θ ≤ 70°, by angle:
Position (°2θ), d/Å, I/Imax
7.7, 11.412, 6
14.0, 6.304, 3
16.1, 5.518, 4
28.3, 3.153, 25
31.4, 2.853, 24
32.4, 2.760, 100
42.7, 2.116, 16
50.1, 1.821, 19
56.5, 1.629, 20
60.3, 1.535, 22
61.0, 1.520, 16
67.9, 1.380, 4

Cell and atoms:
abc: 11.412 7.279 7.279
angles: 60.10 90.00 90.00
Atoms (fractional coordinates):
Ce (0.000, 0.000, 0.000)
Y (0.000, 0.497, 0.995)
Y (0.000, 0.995, 0.497)
Y (0.250, 0.328, 0.829)
Y (0.250, 0.331, 0.331)
Y (0.250, 0.829, 0.328)
Y (0.251, 0.830, 0.830)
Y (0.500, 0.497, 0.497)
Y (0.500, 0.497, 0.998)
Y (0.500, 0.997, 0.997)
Y (0.500, 0.998, 0.497)
Y (0.749, 0.830, 0.830)
Y (0.750, 0.328, 0.829)
Y (0.750, 0.331, 0.331)
Y (0.750, 0.829, 0.328)
Th (0.000, 0.502, 0.502)


Please write out number 3 again, unchanged.
Starting from the PBE geometry in Alexandria, the X-ray diffraction stick pattern of CeY14Th was computed for copper Kα.

Top 12 peaks for 5° ≤ 2θ ≤ 70°, by angle:
Position (°2θ), d/Å, I/Imax
7.7, 11.412, 6
14.0, 6.304, 3
16.1, 5.518, 4
28.3, 3.153, 25
31.4, 2.853, 24
32.4, 2.760, 100
42.7, 2.116, 16
50.1, 1.821, 19
56.5, 1.629, 20
60.3, 1.535, 22
61.0, 1.520, 16
67.9, 1.380, 4

Cell and atoms:
abc: 11.412 7.279 7.279
angles: 60.10 90.00 90.00
Atoms (fractional coordinates):
Ce (0.000, 0.000, 0.000)
Y (0.000, 0.497, 0.995)
Y (0.000, 0.995, 0.497)
Y (0.250, 0.328, 0.829)
Y (0.250, 0.331, 0.331)
Y (0.250, 0.829, 0.328)
Y (0.251, 0.830, 0.830)
Y (0.500, 0.497, 0.497)
Y (0.500, 0.497, 0.998)
Y (0.500, 0.997, 0.997)
Y (0.500, 0.998, 0.497)
Y (0.749, 0.830, 0.830)
Y (0.750, 0.328, 0.829)
Y (0.750, 0.331, 0.331)
Y (0.750, 0.829, 0.328)
Th (0.000, 0.502, 0.502)